This entry pairs a crystal structure of Pd7Se4 with its simulated PXRD pattern. Radiation: Cu Kα (λ = 1.5418 Å). Structure: DFT lattice parameters and positions (GGA-PBE).
Neutral-atom scattering factors, no anomalous dispersion.

The 10 most intense peaks (2θ from 5° to 70°), by intensity:
- 33.32 deg, 2.689 Å, I 1000
- 31.50 deg, 2.840 Å, I 646
- 45.74 deg, 1.984 Å, I 596
- 44.47 deg, 2.037 Å, I 592
- 34.98 deg, 2.565 Å, I 556
- 43.05 deg, 2.101 Å, I 507
- 30.26 deg, 2.954 Å, I 356
- 50.64 deg, 1.803 Å, I 355
- 38.58 deg, 2.334 Å, I 275
- 30.72 deg, 2.911 Å, I 269

```
Pd7Se4
1.0
7.0527 0.0000 0.0000
0.0000 10.3490 0.0000
0.0000 0.0000 5.4080
Pd Se
14 8
direct
0.0000 0.0000 0.1772
0.0862 0.2256 0.4941
0.1262 0.6324 0.8379
0.1904 0.4173 0.1500
0.3096 0.9173 0.8500
0.3738 0.1324 0.1621
0.4138 0.7256 0.5059
0.5000 0.5000 0.8228
0.5862 0.2744 0.5059
0.6262 0.8676 0.1621
0.6904 0.0827 0.8500
0.8096 0.5827 0.1500
0.8738 0.3676 0.8379
0.9138 0.7744 0.4941
0.0000 0.0000 0.6694
0.0000 0.5000 0.4999
0.1752 0.7799 0.1838
0.3248 0.2799 0.8162
0.5000 0.0000 0.5001
0.5000 0.5000 0.3306
0.6752 0.7201 0.8162
0.8248 0.2201 0.1838
```



This entry pairs a crystal structure of Rb4NaGe3Br12 with its simulated PXRD pattern. Radiation: Cu Kα (λ = 1.5418 Å). Structure: DFT lattice parameters and positions (GGA-PBE).
Neutral-atom scattering factors, no anomalous dispersion.

The 10 most intense peaks (2θ from 5° to 70°), by intensity:
- 32.31 deg, 2.771 Å, I 1000
- 27.89 deg, 3.199 Å, I 922
- 46.35 deg, 1.959 Å, I 709
- 54.96 deg, 1.671 Å, I 389
- 57.63 deg, 1.600 Å, I 242
- 22.69 deg, 3.918 Å, I 144
- 15.99 deg, 5.541 Å, I 127
- 67.63 deg, 1.385 Å, I 111
- 39.85 deg, 2.262 Å, I 64
- 36.25 deg, 2.478 Å, I 62

```
Rb4NaGe3Br12
1.0
-5.5411 5.5411 5.5411
5.5411 -5.5411 5.5411
5.5411 5.5411 -5.5411
Rb Na Ge Br
4 1 3 12
direct
0.0000 0.0000 0.5000
0.0000 0.5000 0.0000
0.5000 0.0000 0.0000
0.5000 0.5000 0.5000
0.0000 0.0000 0.0000
0.0000 0.5000 0.5000
0.5000 0.0000 0.5000
0.5000 0.5000 0.0000
0.0000 0.2588 0.2588
0.0000 0.7412 0.7412
0.2500 0.5000 0.7500
0.2500 0.7500 0.5000
0.2588 0.0000 0.2588
0.2588 0.2588 0.0000
0.5000 0.2500 0.7500
0.5000 0.7500 0.2500
0.7412 0.0000 0.7412
0.7412 0.7412 0.0000
0.7500 0.2500 0.5000
0.7500 0.5000 0.2500
```



This entry pairs a crystal structure of Ho2GaAg2 with its simulated PXRD pattern. Radiation: Cu Kα (λ = 1.5418 Å). Structure: DFT lattice parameters and positions (GGA-PBE).
Neutral-atom scattering factors, no anomalous dispersion.

The 10 most intense peaks (2θ from 5° to 70°), by intensity:
- 33.48 deg, 2.676 Å, I 1000
- 37.01 deg, 2.429 Å, I 843
- 35.93 deg, 2.500 Å, I 464
- 37.92 deg, 2.373 Å, I 398
- 40.66 deg, 2.219 Å, I 360
- 66.50 deg, 1.406 Å, I 301
- 55.36 deg, 1.659 Å, I 266
- 53.12 deg, 1.724 Å, I 163
- 68.97 deg, 1.362 Å, I 146
- 24.53 deg, 3.628 Å, I 141

```
Ho2GaAg2
1.0
2.2190 -7.2566 0.0000
2.2190 7.2566 0.0000
0.0000 0.0000 3.4484
Ho Ga Ag
2 1 2
direct
0.1134 0.8866 0.0000
0.8866 0.1134 0.0000
0.5000 0.5000 0.5000
0.3061 0.6939 0.5000
0.6939 0.3061 0.5000
```



This entry pairs a crystal structure of Rb2AcScTe4 with its simulated PXRD pattern. Radiation: Cu Kα (λ = 1.5418 Å). Structure: DFT lattice parameters and positions (GGA-PBE).
Neutral-atom scattering factors, no anomalous dispersion.

The 10 most intense peaks (2θ from 5° to 70°), by intensity:
- 26.22 deg, 3.399 Å, I 1000
- 38.89 deg, 2.316 Å, I 231
- 35.89 deg, 2.502 Å, I 220
- 10.33 deg, 8.560 Å, I 215
- 39.01 deg, 2.309 Å, I 131
- 47.61 deg, 1.910 Å, I 127
- 33.11 deg, 2.706 Å, I 122
- 35.76 deg, 2.511 Å, I 105
- 53.95 deg, 1.700 Å, I 93
- 63.01 deg, 1.475 Å, I 88

```
Rb2AcScTe4
1.0
8.0293 0.0000 0.0000
0.0000 4.6179 0.0000
-2.6501 0.0000 8.5604
Rb Ac Sc Te
2 1 1 4
direct
0.0000 0.0000 0.0000
0.5000 0.5000 0.0000
0.0000 0.5000 0.5000
0.5000 0.0000 0.5000
0.2634 0.0000 0.7058
0.2936 0.5000 0.3069
0.7064 0.5000 0.6931
0.7366 0.0000 0.2942
```



This entry pairs a crystal structure of K2ErMg3F12 with its simulated PXRD pattern. Radiation: Cu Kα (λ = 1.5418 Å). Structure: DFT lattice parameters and positions (GGA-PBE).
Neutral-atom scattering factors, no anomalous dispersion.

The 10 most intense peaks (2θ from 5° to 70°), by intensity:
- 14.34 deg, 6.175 Å, I 1000
- 27.80 deg, 3.209 Å, I 707
- 43.99 deg, 2.058 Å, I 268
- 23.45 deg, 3.794 Å, I 226
- 51.56 deg, 1.773 Å, I 226
- 38.17 deg, 2.358 Å, I 214
- 47.96 deg, 1.897 Å, I 195
- 29.69 deg, 3.009 Å, I 168
- 28.92 deg, 3.088 Å, I 159
- 41.50 deg, 2.176 Å, I 140

```
K2ErMg3F12
1.0
3.7941 2.1905 6.0179
-3.7941 2.1905 6.0179
0.0000 -4.3810 6.0179
K Er Mg F
2 1 3 12
direct
0.1674 0.1674 0.1674
0.8326 0.8326 0.8326
0.5000 0.5000 0.5000
0.0000 0.5000 0.5000
0.5000 0.0000 0.5000
0.5000 0.5000 0.0000
0.1555 0.5848 0.5848
0.1953 0.1953 0.5593
0.1953 0.5593 0.1953
0.4152 0.4152 0.8445
0.4152 0.8445 0.4152
0.4407 0.8047 0.8047
0.5593 0.1953 0.1953
0.5848 0.1555 0.5848
0.5848 0.5848 0.1555
0.8047 0.4407 0.8047
0.8047 0.8047 0.4407
0.8445 0.4152 0.4152
```



This entry pairs a crystal structure of NaScS2 with its simulated PXRD pattern. Radiation: Cu Kα (λ = 1.5418 Å). Structure: DFT lattice parameters and positions (GGA-PBE).
Neutral-atom scattering factors, no anomalous dispersion.

The 10 most intense peaks (2θ from 5° to 70°), by intensity:
- 35.33 deg, 2.541 Å, I 1000
- 48.58 deg, 1.874 Å, I 439
- 13.01 deg, 6.803 Å, I 392
- 28.86 deg, 3.093 Å, I 365
- 41.64 deg, 2.169 Å, I 296
- 53.00 deg, 1.728 Å, I 175
- 61.48 deg, 1.508 Å, I 170
- 53.91 deg, 1.701 Å, I 67
- 65.86 deg, 1.418 Å, I 67
- 27.57 deg, 3.236 Å, I 58

```
NaScS2
1.0
3.2461 -1.8739 0.0000
3.2461 1.8739 0.0000
-2.1727 0.0000 13.6068
Na Sc S
2 2 4
direct
0.0842 0.0842 0.2532
0.9158 0.9158 0.7468
0.5006 0.4994 0.5000
0.9971 0.0029 0.0000
0.2028 0.2014 0.6058
0.2943 0.3000 0.8931
0.7000 0.7057 0.1069
0.7986 0.7972 0.3942
```



This entry pairs a crystal structure of SnH6CI3N3 with its simulated PXRD pattern. Radiation: Cu Kα (λ = 1.5418 Å). Structure: DFT lattice parameters and positions (GGA-PBE).
Neutral-atom scattering factors, no anomalous dispersion.

The 10 most intense peaks (2θ from 5° to 70°), by intensity:
- 10.75 deg, 8.231 Å, I 1000
- 24.31 deg, 3.661 Å, I 700
- 31.15 deg, 2.871 Å, I 307
- 29.15 deg, 3.064 Å, I 202
- 30.80 deg, 2.903 Å, I 172
- 22.18 deg, 4.009 Å, I 156
- 45.62 deg, 1.989 Å, I 117
- 21.77 deg, 4.083 Å, I 116
- 36.53 deg, 2.459 Å, I 111
- 40.24 deg, 2.241 Å, I 110

```
SnH6CI3N3
1.0
9.5324 0.0000 0.0000
0.0000 8.0170 0.0000
-9.5291 0.0000 16.4112
Sn H C I N
4 24 4 12 12
direct
0.0001 0.0384 0.2494
0.0001 0.4616 0.7494
0.9999 0.5384 0.2506
0.9999 0.9616 0.7506
0.0860 0.2473 0.0262
0.0860 0.2527 0.5262
0.1691 0.2309 0.9625
0.1691 0.2691 0.4625
0.2552 0.2141 0.6663
0.2552 0.2859 0.1663
0.4235 0.7170 0.8776
0.4235 0.7830 0.3776
0.4494 0.2474 0.5175
0.4494 0.2526 0.0175
0.4653 0.1980 0.7073
0.4653 0.3020 0.2073
0.5347 0.6980 0.7927
0.5347 0.8020 0.2927
0.5506 0.7474 0.9825
0.5506 0.7526 0.4825
0.5765 0.2170 0.6224
0.5765 0.2830 0.1224
0.7448 0.7141 0.8337
0.7448 0.7859 0.3337
0.8309 0.7309 0.5375
0.8309 0.7691 0.0375
0.9140 0.7473 0.4738
0.9140 0.7527 0.9738
0.3335 0.2322 0.5836
0.3335 0.2678 0.0836
0.6665 0.7322 0.9164
0.6665 0.7678 0.4164
0.1053 0.7177 0.9014
0.1053 0.7823 0.4014
0.1961 0.7037 0.6974
0.1961 0.7963 0.1974
0.3014 0.2143 0.8489
0.3014 0.2857 0.3489
0.6986 0.7143 0.6511
0.6986 0.7857 0.1511
0.8039 0.2037 0.8026
0.8039 0.2963 0.3026
0.8947 0.2177 0.5986
0.8947 0.2823 0.0986
0.1853 0.2438 0.0194
0.1853 0.2562 0.5194
0.3522 0.2097 0.6577
0.3522 0.2903 0.1577
0.4629 0.2301 0.5738
0.4629 0.2699 0.0738
0.5371 0.7301 0.9262
0.5371 0.7699 0.4262
0.6478 0.7097 0.8423
0.6478 0.7903 0.3423
0.8147 0.7438 0.4806
0.8147 0.7562 0.9806
```



This entry pairs a crystal structure of CrCuC with its simulated PXRD pattern. Radiation: Cu Kα (λ = 1.5418 Å). Structure: DFT lattice parameters and positions (GGA-PBE).
Neutral-atom scattering factors, no anomalous dispersion.

The 7 most intense peaks (2θ from 5° to 70°), by intensity:
- 39.32 deg, 2.292 Å, I 1000
- 45.92 deg, 1.976 Å, I 427
- 66.48 deg, 1.406 Å, I 249
- 45.30 deg, 2.002 Å, I 223
- 66.97 deg, 1.397 Å, I 122
- 32.02 deg, 2.795 Å, I 48
- 56.55 deg, 1.627 Å, I 17

```
CrCuC
1.0
2.7948 0.0000 0.0000
0.0000 2.7948 0.0000
0.0000 0.0000 4.0034
Cr Cu C
1 1 1
direct
0.0000 0.0000 0.0000
0.5000 0.5000 0.5000
0.5000 0.5000 0.0000
```



Number 2 is which compound? Rb4NaGe3Br12